Diffraction record for Ac2Pm4Ho7. The powder XRD pattern is computed, not measured: it uses a crystal structure in Alexandria, relaxed with GGA-PBE and CuKα.
Kinematic intensities with the Lorentz-polarization factor, no thermal factor.

Structural model:
Cell lengths 6.2043, 6.2043, 13.5475 Å; angles 90.00, 90.00, 120.00 degrees
Atoms (fractional coordinates):
Ac1 0.3333 0.6667 0.0000
Ac2 0.6667 0.3333 0.0000
Pm1 0.0000 0.0000 0.3944
Pm2 0.0000 0.0000 0.6056
Pm3 0.3333 0.6667 0.5000
Pm4 0.6667 0.3333 0.5000
Ho1 0.0000 0.0000 0.0000
Ho2 0.0000 0.3517 0.2172
Ho3 0.0000 0.6483 0.7828
Ho4 0.3517 0.0000 0.2172
Ho5 0.3517 0.3517 0.7828
Ho6 0.6483 0.0000 0.7828
Ho7 0.6483 0.6483 0.2172

Peak list (10 most intense, 10 to 90 degrees two-theta, most intense first)
- 2θ = 31.7°, 2.820 Å, I = 100
- 2θ = 29.5°, 3.024 Å, I = 38
- 2θ = 35.1°, 2.557 Å, I = 35
- 2θ = 51.0°, 1.791 Å, I = 29
- 2θ = 26.3°, 3.387 Å, I = 22
- 2θ = 50.0°, 1.826 Å, I = 18
- 2θ = 61.3°, 1.512 Å, I = 18
- 2θ = 28.8°, 3.102 Å, I = 15
- 2θ = 33.1°, 2.709 Å, I = 15
- 2θ = 58.3°, 1.583 Å, I = 14

---

Diffraction record for AcPm2Ho5. The powder XRD pattern is computed, not measured: it uses a crystal structure in Alexandria, relaxed with GGA-PBE and CuKα.
Kinematic intensities with the Lorentz-polarization factor, no thermal factor.

Structural model:
Cell lengths 8.6000, 11.3117, 12.4360 Å; angles 95.16, 108.28, 106.46 degrees
Atoms (fractional coordinates):
Ac1 0.0261 0.4031 0.1804
Ac2 0.0994 0.3422 0.6927
Ac3 0.9006 0.6578 0.3073
Ac4 0.9739 0.5969 0.8196
Pm1 0.2240 0.0910 0.5673
Pm2 0.3434 0.2812 0.3717
Pm3 0.4137 0.2186 0.8820
Pm4 0.4654 0.0300 0.2446
Pm5 0.5346 0.9700 0.7554
Pm6 0.5863 0.7814 0.1180
Pm7 0.6566 0.7188 0.6283
Pm8 0.7760 0.9090 0.4327
Ho1 0.0415 0.9729 0.2530
Ho2 0.0920 0.7843 0.6216
Ho3 0.1489 0.1535 0.0547
Ho4 0.1680 0.7243 0.1308
Ho5 0.2164 0.5338 0.4970
Ho6 0.2772 0.9116 0.9344
Ho7 0.2954 0.4690 0.0079
Ho8 0.3533 0.8449 0.4437
Ho9 0.4084 0.6622 0.8082
Ho10 0.4736 0.5941 0.3199
Ho11 0.5264 0.4059 0.6801
Ho12 0.5916 0.3378 0.1918
Ho13 0.6467 0.1551 0.5563
Ho14 0.7046 0.5310 0.9921
Ho15 0.7228 0.0884 0.0656
Ho16 0.7836 0.4662 0.5030
Ho17 0.8320 0.2757 0.8692
Ho18 0.8511 0.8465 0.9453
Ho19 0.9080 0.2157 0.3784
Ho20 0.9585 0.0271 0.7470

Peak list (10 most intense, 10 to 90 degrees two-theta, most intense first)
- 2θ = 32.1°, 2.787 Å, I = 100
- 2θ = 31.0°, 2.886 Å, I = 24
- 2θ = 28.0°, 3.183 Å, I = 24
- 2θ = 55.8°, 1.647 Å, I = 21
- 2θ = 59.7°, 1.549 Å, I = 15
- 2θ = 49.7°, 1.836 Å, I = 13
- 2θ = 42.3°, 2.138 Å, I = 13
- 2θ = 60.3°, 1.535 Å, I = 11
- 2θ = 59.6°, 1.552 Å, I = 8
- 2θ = 49.5°, 1.840 Å, I = 7

---

Diffraction record for Ac2Pm6Ho3. The powder XRD pattern is computed, not measured: it uses a crystal structure in Alexandria, relaxed with GGA-PBE and CuKα.
Kinematic intensities with the Lorentz-polarization factor, no thermal factor.

Structural model:
Cell lengths 32.9047, 32.9047, 32.9047 Å; angles 6.43, 6.43, 6.43 degrees
Atoms (fractional coordinates):
Ac1 0.0470 0.0470 0.0470
Ac2 0.9530 0.9530 0.9530
Pm1 0.1375 0.1375 0.1375
Pm2 0.3184 0.3184 0.3184
Pm3 0.4123 0.4123 0.4123
Pm4 0.5877 0.5877 0.5877
Pm5 0.6816 0.6816 0.6816
Pm6 0.8625 0.8625 0.8625
Ho1 0.2252 0.2252 0.2252
Ho2 0.5000 0.5000 0.5000
Ho3 0.7748 0.7748 0.7748

Peak list (10 most intense, 10 to 90 degrees two-theta, most intense first)
- 2θ = 29.7°, 3.010 Å, I = 100
- 2θ = 34.5°, 2.601 Å, I = 64
- 2θ = 29.9°, 2.985 Å, I = 29
- 2θ = 58.8°, 1.570 Å, I = 26
- 2θ = 49.4°, 1.845 Å, I = 25
- 2θ = 49.7°, 1.834 Å, I = 19
- 2θ = 58.7°, 1.573 Å, I = 15
- 2θ = 61.6°, 1.505 Å, I = 12
- 2θ = 80.2°, 1.197 Å, I = 12
- 2θ = 59.1°, 1.563 Å, I = 11

---

Diffraction record for Ac3Pm3Ho2. The powder XRD pattern is computed, not measured: it uses a crystal structure in Alexandria, relaxed with GGA-PBE and CuKα.
Kinematic intensities with the Lorentz-polarization factor, no thermal factor.

Structural model:
Cell lengths 6.1243, 6.1373, 7.9159 Å; angles 90.00, 90.00, 90.00 degrees
Atoms (fractional coordinates):
Ac1 0.0000 0.0000 0.0000
Ac2 0.0000 0.0000 0.5000
Ac3 0.5000 0.5000 0.0000
Pm1 0.5000 0.0000 0.2589
Pm2 0.5000 0.0000 0.7411
Pm3 0.5000 0.5000 0.5000
Ho1 0.0000 0.5000 0.2591
Ho2 0.0000 0.5000 0.7409

Peak list (10 most intense, 10 to 90 degrees two-theta, most intense first)
- 2θ = 30.6°, 2.923 Å, I = 100
- 2θ = 29.1°, 3.065 Å, I = 57
- 2θ = 52.6°, 1.741 Å, I = 45
- 2θ = 41.7°, 2.168 Å, I = 22
- 2θ = 55.3°, 1.663 Å, I = 19
- 2θ = 63.7°, 1.461 Å, I = 12
- 2θ = 68.4°, 1.371 Å, I = 10
- 2θ = 90.0°, 1.091 Å, I = 10
- 2θ = 69.2°, 1.357 Å, I = 10
- 2θ = 45.9°, 1.979 Å, I = 8

---

Diffraction record for Ac2PmHo4. The powder XRD pattern is computed, not measured: it uses a crystal structure in Alexandria, relaxed with GGA-PBE and CuKα.
Kinematic intensities with the Lorentz-polarization factor, no thermal factor.

Structural model:
Cell lengths 3.6462, 37.5689, 3.6532 Å; angles 90.00, 90.00, 90.00 degrees
Atoms (fractional coordinates):
Ac1 0.0000 0.2039 0.0000
Ac2 0.0000 0.7961 0.0000
Ac3 0.5000 0.2961 0.0000
Ac4 0.5000 0.7039 0.0000
Pm1 0.0000 0.5000 0.5000
Pm2 0.5000 0.0000 0.5000
Ho1 0.0000 0.0662 0.0000
Ho2 0.0000 0.3695 0.5000
Ho3 0.0000 0.6305 0.5000
Ho4 0.0000 0.9338 0.0000
Ho5 0.5000 0.1305 0.5000
Ho6 0.5000 0.4338 0.0000
Ho7 0.5000 0.5662 0.0000
Ho8 0.5000 0.8695 0.5000

Peak list (10 most intense, 10 to 90 degrees two-theta, most intense first)
- 2θ = 29.6°, 3.016 Å, I = 100
- 2θ = 31.0°, 2.883 Å, I = 80
- 2θ = 34.8°, 2.575 Å, I = 63
- 2θ = 50.8°, 1.797 Å, I = 50
- 2θ = 59.1°, 1.562 Å, I = 29
- 2θ = 60.0°, 1.541 Å, I = 25
- 2θ = 33.4°, 2.683 Å, I = 21
- 2θ = 81.6°, 1.179 Å, I = 17
- 2θ = 61.4°, 1.509 Å, I = 15
- 2θ = 49.9°, 1.827 Å, I = 14

---

Diffraction record for Ac4PmHo2. The powder XRD pattern is computed, not measured: it uses a crystal structure in Alexandria, relaxed with GGA-PBE and CuKα.
Kinematic intensities with the Lorentz-polarization factor, no thermal factor.

Structural model:
Cell lengths 12.4833, 7.5897, 13.7437 Å; angles 64.24, 33.20, 82.56 degrees
Atoms (fractional coordinates):
Ac1 0.0237 0.9763 0.7869
Ac2 0.0351 0.4633 0.7751
Ac3 0.0369 0.4631 0.2737
Ac4 0.4633 0.0351 0.7265
Ac5 0.4631 0.0369 0.2263
Ac6 0.4749 0.5235 0.2149
Ac7 0.5235 0.4749 0.7867
Ac8 0.9763 0.0237 0.2131
Pm1 0.6235 0.6235 0.3765
Pm2 0.8735 0.8735 0.6265
Ho1 0.1505 0.5978 0.9026
Ho2 0.3474 0.9009 0.0995
Ho3 0.5978 0.1505 0.3491
Ho4 0.9009 0.3474 0.6522

Peak list (10 most intense, 10 to 90 degrees two-theta, most intense first)
- 2θ = 29.7°, 3.004 Å, I = 100
- 2θ = 30.5°, 2.935 Å, I = 42
- 2θ = 26.1°, 3.416 Å, I = 28
- 2θ = 36.7°, 2.449 Å, I = 21
- 2θ = 54.6°, 1.682 Å, I = 15
- 2θ = 48.8°, 1.867 Å, I = 14
- 2θ = 23.4°, 3.795 Å, I = 14
- 2θ = 48.2°, 1.888 Å, I = 13
- 2θ = 30.1°, 2.968 Å, I = 12
- 2θ = 59.5°, 1.554 Å, I = 11

---

Diffraction record for Ac2Pm3Ho6. The powder XRD pattern is computed, not measured: it uses a crystal structure in Alexandria, relaxed with GGA-PBE and CuKα.
Kinematic intensities with the Lorentz-polarization factor, no thermal factor.

Structural model:
Cell lengths 6.2422, 6.2422, 11.9800 Å; angles 94.97, 94.97, 120.06 degrees
Atoms (fractional coordinates):
Ac1 0.1668 0.8332 0.0000
Ac2 0.8332 0.1668 0.0000
Pm1 0.0000 0.0000 0.5000
Pm2 0.3355 0.6645 0.5000
Pm3 0.6645 0.3355 0.5000
Ho1 0.0815 0.4139 0.7423
Ho2 0.2537 0.2537 0.2578
Ho3 0.4139 0.0815 0.7423
Ho4 0.5861 0.9185 0.2577
Ho5 0.7463 0.7463 0.7422
Ho6 0.9185 0.5861 0.2577

Peak list (10 most intense, 10 to 90 degrees two-theta, most intense first)
- 2θ = 30.4°, 2.944 Å, I = 100
- 2θ = 35.2°, 2.550 Å, I = 51
- 2θ = 60.2°, 1.537 Å, I = 25
- 2θ = 50.6°, 1.804 Å, I = 24
- 2θ = 60.1°, 1.539 Å, I = 18
- 2θ = 50.7°, 1.801 Å, I = 12
- 2θ = 63.2°, 1.471 Å, I = 9
- 2θ = 85.0°, 1.141 Å, I = 8
- 2θ = 82.5°, 1.169 Å, I = 8
- 2θ = 82.3°, 1.171 Å, I = 7

---

Diffraction record for AcPm3Ho7. The powder XRD pattern is computed, not measured: it uses a crystal structure in Alexandria, relaxed with GGA-PBE and CuKα.
Kinematic intensities with the Lorentz-polarization factor, no thermal factor.

Structural model:
Cell lengths 7.1149, 7.1149, 8.7659 Å; angles 90.00, 90.00, 120.00 degrees
Atoms (fractional coordinates):
Ac1 0.0000 0.0000 0.0000
Pm1 0.3359 0.1680 0.6579
Pm2 0.8320 0.1680 0.6579
Pm3 0.8320 0.6641 0.6579
Ho1 0.1672 0.3345 0.3290
Ho2 0.1672 0.8328 0.3290
Ho3 0.5010 0.0021 0.0008
Ho4 0.5010 0.4990 0.0008
Ho5 0.6655 0.8328 0.3290
Ho6 0.6667 0.3333 0.3240
Ho7 0.9979 0.4990 0.0008

Peak list (10 most intense, 10 to 90 degrees two-theta, most intense first)
- 2θ = 30.8°, 2.907 Å, I = 100
- 2θ = 35.6°, 2.520 Å, I = 68
- 2θ = 61.0°, 1.519 Å, I = 43
- 2θ = 30.6°, 2.922 Å, I = 33
- 2θ = 51.2°, 1.786 Å, I = 24
- 2θ = 51.4°, 1.779 Å, I = 24
- 2θ = 60.8°, 1.524 Å, I = 15
- 2θ = 64.1°, 1.453 Å, I = 13
- 2θ = 83.8°, 1.154 Å, I = 12
- 2θ = 86.5°, 1.125 Å, I = 11